[1]
LiMnF5: theoretical XRD peak list (copper Kα), based on a crystal structure in the Materials Project, relaxed with GGA+U.

Top 8 peaks for 2θ from 10° to 90°, low angle first:
2θ/deg, I/Imax
14.96, 100
19.52, 27
19.73, 87
22.72, 37
23.11, 51
24.74, 35
26.00, 29
42.64, 25

```
LiMnF5
1.0
5.275 0.000 0.000
0.000 9.030 0.000
-4.798 0.000 7.849
Li Mn F
4 4 20
Cartesian
-0.454 0.898 2.270 Li
-2.854 3.617 6.195 Li
3.330 5.413 1.654 Li
0.931 8.131 5.578 Li
-1.574 1.099 6.888 Mn
0.825 3.416 2.963 Mn
-0.349 5.614 4.885 Mn
2.051 7.930 0.961 Mn
-2.330 1.817 5.432 F
0.070 2.698 1.507 F
-1.888 6.469 4.894 F
0.512 7.075 0.970 F
-0.756 4.652 3.191 F
-3.155 8.892 7.116 F
0.028 2.058 3.882 F
-2.371 2.457 7.806 F
1.289 0.217 1.966 F
-1.110 4.298 5.890 F
1.586 4.732 1.959 F
-0.813 8.813 5.883 F
2.847 6.572 0.042 F
0.448 6.972 3.967 F
3.631 0.137 0.733 F
1.232 4.378 4.658 F
-0.035 1.954 6.879 F
2.364 2.561 2.955 F
0.407 6.332 6.342 F
2.806 7.213 2.417 F
```

---

[2]
LiMnF3: theoretical XRD peak list (copper Kα), based on a crystal structure in the Materials Project, relaxed with GGA+U.

Top 8 peaks for 2θ from 10° to 90°, low angle first:
2θ/deg, I/Imax
21.31, 52
22.68, 100
31.32, 51
36.67, 22
48.96, 22
49.52, 26
51.51, 33
59.86, 24

```
LiMnF3
1.0
5.977 0.000 0.000
0.000 8.338 0.000
0.000 0.000 5.195
Li Mn F
4 4 12
Cartesian
0.874 2.085 0.156 Li
2.115 6.254 2.754 Li
3.862 2.085 2.441 Li
5.104 6.254 5.039 Li
0.000 0.000 2.598 Mn
0.000 4.169 2.598 Mn
2.989 0.000 0.000 Mn
2.989 4.169 0.000 Mn
0.156 6.254 3.428 F
1.187 0.603 4.243 F
1.187 3.566 4.243 F
1.802 4.772 1.645 F
1.802 7.735 1.645 F
2.833 2.085 0.830 F
3.145 6.254 4.366 F
4.175 0.603 3.550 F
4.175 3.566 3.550 F
4.791 4.772 0.953 F
4.791 7.735 0.953 F
5.821 2.085 1.768 F
```

---

[3]
Li4MnF7: theoretical XRD peak list (copper Kα), based on a crystal structure in the Materials Project, relaxed with GGA+U.

Top 8 peaks for 2θ from 10° to 90°, low angle first:
2θ/deg, I/Imax
14.21, 68
16.67, 100
20.96, 81
25.05, 59
39.30, 39
39.69, 39
40.20, 63
52.36, 49

```
Li4MnF7
1.0
5.701 0.000 0.000
1.657 6.844 0.000
2.620 2.902 6.393
Li Mn F
8 2 14
Cartesian
0.962 2.411 0.948 Li
2.285 3.698 3.991 Li
4.463 5.127 4.428 Li
3.239 3.751 1.193 Li
6.740 5.995 5.200 Li
5.516 4.619 1.965 Li
7.693 6.048 2.402 Li
9.017 7.335 5.445 Li
2.851 0.000 0.000 Mn
4.161 1.451 3.196 Mn
2.697 5.778 4.181 F
4.238 8.566 4.173 F
3.890 3.805 5.940 F
4.881 6.285 5.971 F
3.570 5.748 1.233 F
3.118 1.505 1.570 F
4.210 3.617 3.081 F
5.769 6.128 3.312 F
6.860 8.241 4.823 F
6.408 3.997 5.160 F
5.098 3.461 0.422 F
6.089 5.941 0.453 F
5.740 1.180 2.220 F
7.281 3.967 2.211 F
```

---

[4]
Li3Mn5F15: theoretical XRD peak list (copper Kα), based on a crystal structure in the Materials Project, relaxed with GGA+U.

Top 8 peaks for 2θ from 10° to 90°, low angle first:
2θ/deg, I/Imax
15.17, 38
21.51, 63
22.55, 100
24.57, 57
28.17, 29
43.83, 30
46.04, 28
49.33, 32

```
Li3Mn5F15
1.0
13.063 0.000 0.000
0.000 13.063 0.000
0.000 0.000 3.943
Li Mn F
6 10 30
Cartesian
0.000 0.000 0.000 Li
2.118 4.414 3.770 Li
4.414 10.945 3.770 Li
6.532 6.532 0.000 Li
8.649 2.118 3.770 Li
10.945 8.649 3.770 Li
0.000 6.532 3.588 Mn
1.044 10.285 3.646 Mn
2.778 1.044 3.646 Mn
3.753 7.576 3.646 Mn
5.488 3.753 3.646 Mn
6.532 0.000 3.588 Mn
7.576 9.310 3.646 Mn
9.310 5.488 3.646 Mn
10.285 12.019 3.646 Mn
12.019 2.778 3.646 Mn
0.000 6.532 1.622 F
0.195 4.448 3.629 F
0.822 1.724 3.703 F
1.068 10.247 1.679 F
1.724 12.241 3.703 F
2.083 6.336 3.629 F
2.816 1.068 1.679 F
3.084 9.616 3.653 F
3.448 3.084 3.653 F
3.716 7.600 1.679 F
4.448 12.868 3.629 F
4.808 5.710 3.703 F
5.463 3.716 1.679 F
5.710 8.255 3.703 F
6.336 10.980 3.629 F
6.532 0.000 1.622 F
6.727 2.083 3.629 F
7.353 4.808 3.703 F
7.600 9.347 1.679 F
8.255 7.353 3.703 F
8.615 0.195 3.629 F
9.347 5.463 1.679 F
9.616 9.979 3.653 F
9.979 3.448 3.653 F
10.247 11.995 1.679 F
10.980 6.727 3.629 F
11.339 0.822 3.703 F
11.995 2.816 1.679 F
12.241 11.339 3.703 F
12.868 8.615 3.629 F
```

---

[5]
LiMnF6: theoretical XRD peak list (copper Kα), based on a crystal structure in the Materials Project, relaxed with GGA+U.

Top 8 peaks for 2θ from 10° to 90°, low angle first:
2θ/deg, I/Imax
19.60, 35
21.31, 82
24.17, 100
40.87, 74
49.52, 19
54.38, 36
63.74, 16
72.95, 13

```
LiMnF6
1.0
2.529 1.460 4.530
-2.529 1.460 4.530
0.000 -2.920 4.530
Li Mn F
1 1 6
Cartesian
0.000 0.000 0.000 Li
0.000 0.000 6.795 Mn
-1.485 0.143 5.738 F
-0.866 -1.215 7.851 F
0.619 -1.358 5.738 F
-0.619 1.358 7.851 F
0.866 1.215 5.738 F
1.485 -0.143 7.851 F
```

---

[6]
LiMn2F7: theoretical XRD peak list (copper Kα), based on a crystal structure in the Materials Project, relaxed with GGA+U.

Top 8 peaks for 2θ from 10° to 90°, low angle first:
2θ/deg, I/Imax
22.29, 100
23.88, 27
24.09, 36
27.07, 29
39.53, 22
40.38, 19
52.27, 19
53.60, 40

```
LiMn2F7
1.0
13.149 0.000 0.000
0.000 5.034 0.000
-0.836 0.000 7.453
Li Mn F
4 8 28
Cartesian
0.763 1.212 2.514 Li
0.345 1.305 6.241 Li
11.968 3.729 1.213 Li
11.550 3.822 4.940 Li
1.809 3.766 4.856 Mn
2.227 3.785 1.129 Mn
4.956 1.240 1.655 Mn
4.538 1.277 5.381 Mn
7.774 3.757 2.072 Mn
7.356 3.794 5.799 Mn
10.086 1.249 6.325 Mn
10.504 1.268 2.598 Mn
0.552 2.841 1.383 F
0.134 4.710 5.110 F
1.362 0.258 0.515 F
0.944 2.259 4.241 F
1.525 2.959 6.728 F
1.943 4.592 3.002 F
2.713 0.216 5.555 F
3.131 2.301 1.828 F
3.563 2.791 4.781 F
3.981 4.760 1.055 F
4.725 0.698 3.521 F
4.307 1.819 7.248 F
5.972 2.701 2.212 F
5.553 4.850 5.938 F
6.759 0.184 1.515 F
6.341 2.333 5.242 F
8.006 3.215 0.206 F
7.588 4.336 3.933 F
8.332 0.274 6.399 F
8.750 2.243 2.672 F
9.181 2.733 5.626 F
9.599 4.818 1.899 F
10.369 0.442 4.452 F
10.787 2.075 0.725 F
11.369 2.775 3.212 F
10.951 4.776 6.939 F
12.178 0.324 2.343 F
11.760 2.193 6.070 F
```

---

[7]
LiMnF3: theoretical XRD peak list (copper Kα), based on a crystal structure in the Materials Project, relaxed with GGA+U.

Top 8 peaks for 2θ from 10° to 90°, low angle first:
2θ/deg, I/Imax
18.04, 100
23.18, 59
29.53, 73
32.98, 62
35.05, 35
39.72, 31
40.70, 41
52.37, 76

```
LiMnF3
1.0
7.673 0.000 0.000
0.000 3.258 0.000
0.000 0.000 4.917
Li Mn F
2 2 6
Cartesian
1.918 0.000 0.161 Li
5.755 0.000 4.755 Li
0.000 1.629 2.458 Mn
3.836 1.629 2.458 Mn
0.573 0.000 3.691 F
1.918 1.629 1.300 F
3.263 0.000 3.691 F
4.410 0.000 1.225 F
5.755 1.629 3.617 F
7.100 0.000 1.225 F
```